Record 1
La5CrPb3: simulated powder diffraction line list (Cu Kα, 1.54184 Å), based on the GGA-PBE geometry in the Materials Project.
Peak positions follow from Bragg's law for the DFT cell and can differ from measured ones.

a = 9.865 Å, b = 9.865 Å, c = 6.990 Å
α = 90.00°, β = 90.00°, γ = 120.00°
Positions (direct):
La 0.000 0.250 0.250
La 0.000 0.750 0.750
La 0.250 0.000 0.250
La 0.250 0.250 0.750
La 0.333 0.667 0.000
La 0.333 0.667 0.500
La 0.667 0.333 0.000
La 0.667 0.333 0.500
La 0.750 0.000 0.750
La 0.750 0.750 0.250
Cr 0.000 0.000 0.000
Cr 0.000 0.000 0.500
Pb 0.000 0.396 0.750
Pb 0.000 0.604 0.250
Pb 0.396 0.000 0.750
Pb 0.396 0.396 0.250
Pb 0.604 0.000 0.250
Pb 0.604 0.604 0.750

Peak list (10 most intense, 2θ from 5° to 70°, sorted by position)
two_theta	Rel. int.
25.5	15
27.6	11
30.5	69
31.4	100
40.2	20
45.0	12
48.2	26
52.4	8
60.3	15
62.4	14



Record 2
Eu3Re: simulated powder diffraction line list (Cu Kα, 1.54184 Å), based on the GGA-PBE geometry in the Materials Project.
Peak positions follow from Bragg's law for the DFT cell and can differ from measured ones.

a = 5.301 Å, b = 5.301 Å, c = 5.301 Å
α = 60.00°, β = 60.00°, γ = 60.00°
Positions (direct):
Eu 0.000 0.000 0.000
Eu 0.250 0.250 0.250
Eu 0.750 0.750 0.750
Re 0.500 0.500 0.500

Peak list (4 most intense, 2θ from 5° to 70°, sorted by position)
two_theta	Rel. int.
20.5	1
33.8	100
48.6	18
60.5	38



Record 3
CuBO3: simulated powder diffraction line list (Cu Kα, 1.54184 Å), based on the GGA-PBE geometry in the Materials Project.
Peak positions follow from Bragg's law for the DFT cell and can differ from measured ones.

a = 3.351 Å, b = 3.351 Å, c = 3.351 Å
α = 90.00°, β = 90.00°, γ = 90.00°
Positions (direct):
Cu 0.000 0.000 0.000
B 0.500 0.500 0.500
O 0.000 0.500 0.500
O 0.500 0.000 0.500
O 0.500 0.500 0.000

Peak list (6 most intense, 2θ from 5° to 70°, sorted by position)
two_theta	Rel. int.
26.6	57
38.0	90
47.0	100
54.8	56
61.9	25
68.6	30



Record 4
TbFe10Re2: simulated powder diffraction line list (Cu Kα, 1.54184 Å), based on the GGA-PBE geometry in the Materials Project.
Peak positions follow from Bragg's law for the DFT cell and can differ from measured ones.

a = 6.486 Å, b = 6.486 Å, c = 6.486 Å
α = 137.58°, β = 98.53°, γ = 96.51°
Positions (direct):
Tb 0.000 0.000 0.000
Fe 0.000 0.000 0.500
Fe 0.000 0.500 0.000
Fe 0.221 0.500 0.721
Fe 0.229 0.729 0.500
Fe 0.359 0.000 0.359
Fe 0.500 0.000 0.000
Fe 0.500 0.500 0.500
Fe 0.641 0.000 0.641
Fe 0.771 0.271 0.500
Fe 0.779 0.500 0.279
Re 0.357 0.357 0.000
Re 0.643 0.643 0.000

Peak list (10 most intense, 2θ from 5° to 70°, sorted by position)
two_theta	Rel. int.
21.0	28
21.7	69
32.9	40
36.6	57
37.2	63
38.4	36
42.6	100
42.7	47
42.9	32
44.1	65